No. 1
Diffraction record for Hf5Zr5Sc2. The X-ray powder pattern is computed, not measured: it uses a cell relaxed with GGA-PBE and Cu Kα, 1.54184 Å.
No peak broadening, texture or thermal motion is included.

Cell lengths 7.1485, 7.1485, 10.0703 Å; angles 115.28, 115.28, 36.71 degrees
Element x y z (fractional)
Hf (0.0000, 0.0000, 0.0000)
Hf (0.1691, 0.1691, 0.5004)
Hf (0.2478, 0.2478, 0.2520)
Hf (0.7522, 0.7522, 0.7480)
Hf (0.8309, 0.8309, 0.4996)
Zr (0.3335, 0.3335, 0.9979)
Zr (0.4149, 0.4149, 0.7495)
Zr (0.5000, 0.5000, 0.5000)
Zr (0.5851, 0.5851, 0.2505)
Zr (0.6665, 0.6665, 0.0021)
Sc (0.0836, 0.0836, 0.7496)
Sc (0.9164, 0.9164, 0.2504)

The 10 most intense peaks (5 to 70 degrees two-theta), most intense first:
2theta, intensity
34.46, 100
40.08, 33
57.81, 22
69.20, 19
39.86, 17
68.92, 13
57.98, 11
13.45, 8
69.28, 6
14.62, 5



No. 2
Diffraction record for MoAuI2. The X-ray powder pattern is computed, not measured: it uses a cell relaxed with GGA-PBE and Cu Kα, 1.54184 Å.
No peak broadening, texture or thermal motion is included.

Cell lengths 6.6379, 6.6379, 11.7301 Å; angles 90.00, 90.00, 90.00 degrees
Element x y z (fractional)
Mo (0.0000, 0.0000, 0.0000)
Mo (0.0000, 0.5000, 0.2500)
Mo (0.5000, 0.0000, 0.7500)
Mo (0.5000, 0.5000, 0.5000)
Au (0.0000, 0.0000, 0.5000)
Au (0.0000, 0.5000, 0.7500)
Au (0.5000, 0.0000, 0.2500)
Au (0.5000, 0.5000, 0.0000)
I (0.2155, 0.2500, 0.1250)
I (0.2500, 0.7155, 0.3750)
I (0.2500, 0.7845, 0.8750)
I (0.2845, 0.2500, 0.6250)
I (0.7155, 0.7500, 0.6250)
I (0.7500, 0.2155, 0.8750)
I (0.7500, 0.2845, 0.3750)
I (0.7845, 0.7500, 0.1250)

The 10 most intense peaks (5 to 70 degrees two-theta), most intense first:
2theta, intensity
24.29, 100
41.07, 48
45.92, 34
38.35, 28
50.58, 14
65.21, 12
55.36, 9
31.08, 9
61.32, 7
26.46, 5



No. 3
Diffraction record for Cs6Cl3O. The X-ray powder pattern is computed, not measured: it uses a cell relaxed with GGA-PBE and Cu Kα, 1.54184 Å.
No peak broadening, texture or thermal motion is included.

Cell lengths 9.6983, 9.6983, 9.6983 Å; angles 88.99, 88.99, 88.99 degrees
Element x y z (fractional)
Cs (0.0557, 0.9395, 0.7129)
Cs (0.0605, 0.2871, 0.9443)
Cs (0.2129, 0.4395, 0.5557)
Cs (0.2871, 0.9443, 0.0605)
Cs (0.4395, 0.5557, 0.2129)
Cs (0.4443, 0.7871, 0.5605)
Cs (0.5557, 0.2129, 0.4395)
Cs (0.5605, 0.4443, 0.7871)
Cs (0.7129, 0.0557, 0.9395)
Cs (0.7871, 0.5605, 0.4443)
Cs (0.9395, 0.7129, 0.0557)
Cs (0.9443, 0.0605, 0.2871)
Cl (0.1388, 0.7500, 0.3612)
Cl (0.2500, 0.6388, 0.8612)
Cl (0.3612, 0.1388, 0.7500)
Cl (0.6388, 0.8612, 0.2500)
Cl (0.7500, 0.3612, 0.1388)
Cl (0.8612, 0.2500, 0.6388)
O (0.0000, 0.0000, 0.0000)
O (0.5000, 0.5000, 0.5000)

The 10 most intense peaks (5 to 70 degrees two-theta), most intense first:
2theta, intensity
30.63, 100
27.82, 50
22.13, 40
12.80, 35
28.97, 34
22.53, 30
31.40, 24
26.22, 21
20.63, 20
51.05, 17



No. 4
Diffraction record for Tb3GaSe2. The X-ray powder pattern is computed, not measured: it uses a cell relaxed with GGA-PBE and Cu Kα, 1.54184 Å.
No peak broadening, texture or thermal motion is included.

Cell lengths 5.8396, 12.4270, 8.2373 Å; angles 90.00, 90.01, 90.00 degrees
Element x y z (fractional)
Tb (0.2494, 0.0832, 0.1253)
Tb (0.2494, 0.4168, 0.6253)
Tb (0.2498, 0.0811, 0.6306)
Tb (0.2498, 0.4189, 0.1306)
Tb (0.2507, 0.7495, 0.1245)
Tb (0.2507, 0.7505, 0.6245)
Tb (0.7493, 0.2495, 0.3755)
Tb (0.7493, 0.2505, 0.8755)
Tb (0.7502, 0.5811, 0.8694)
Tb (0.7502, 0.9189, 0.3694)
Tb (0.7506, 0.5832, 0.3747)
Tb (0.7506, 0.9168, 0.8747)
Ga (0.2507, 0.5859, 0.3739)
Ga (0.2507, 0.9141, 0.8739)
Ga (0.7493, 0.0859, 0.1261)
Ga (0.7493, 0.4141, 0.6261)
Se (0.2493, 0.2476, 0.3758)
Se (0.2493, 0.2524, 0.8758)
Se (0.2503, 0.5833, 0.8775)
Se (0.2503, 0.9167, 0.3775)
Se (0.7497, 0.0833, 0.6225)
Se (0.7497, 0.4167, 0.1225)
Se (0.7507, 0.7476, 0.1242)
Se (0.7507, 0.7524, 0.6242)

The 10 most intense peaks (5 to 70 degrees two-theta), most intense first:
2theta, intensity
30.61, 100
43.84, 50
26.41, 16
54.30, 13
54.53, 13
43.70, 13
43.97, 12
63.74, 12
51.85, 5
26.49, 5



No. 5
Diffraction record for Sr4ZnHg. The X-ray powder pattern is computed, not measured: it uses a cell relaxed with GGA-PBE and Cu Kα, 1.54184 Å.
No peak broadening, texture or thermal motion is included.

Cell lengths 4.0064, 4.0064, 14.3442 Å; angles 90.00, 90.00, 90.00 degrees
Element x y z (fractional)
Sr (0.0000, 0.0000, 0.1319)
Sr (0.0000, 0.0000, 0.8681)
Sr (0.5000, 0.5000, 0.3639)
Sr (0.5000, 0.5000, 0.6361)
Zn (0.5000, 0.5000, 0.0000)
Hg (0.0000, 0.0000, 0.5000)

The 10 most intense peaks (5 to 70 degrees two-theta), most intense first:
2theta, intensity
29.08, 100
31.58, 50
6.16, 35
54.71, 34
12.34, 30
38.60, 29
45.27, 18
60.97, 15
61.17, 13
34.03, 11



No. 6
Diffraction record for Ba3ZnAg. The X-ray powder pattern is computed, not measured: it uses a cell relaxed with GGA-PBE and Cu Kα, 1.54184 Å.
No peak broadening, texture or thermal motion is included.

Cell lengths 9.9317, 9.9317, 9.9761 Å; angles 97.46, 97.46, 26.44 degrees
Element x y z (fractional)
Ba (0.0000, 0.0000, 0.0000)
Ba (0.1605, 0.1605, 0.3577)
Ba (0.3398, 0.3398, 0.7167)
Ba (0.5404, 0.5404, 0.6174)
Ba (0.7201, 0.7201, 0.9777)
Ba (0.8809, 0.8809, 0.3337)
Zn (0.1662, 0.1662, 0.7142)
Zn (0.7137, 0.7137, 0.6220)
Ag (0.3689, 0.3689, 0.0738)
Ag (0.5121, 0.5121, 0.2601)

The 10 most intense peaks (5 to 70 degrees two-theta), most intense first:
2theta, intensity
25.02, 100
27.47, 76
27.06, 65
30.52, 62
26.35, 60
27.93, 59
11.97, 52
39.68, 50
33.41, 40
31.28, 40



No. 7
Diffraction record for Pm2Pr2Pt. The X-ray powder pattern is computed, not measured: it uses a cell relaxed with GGA-PBE and Cu Kα, 1.54184 Å.
No peak broadening, texture or thermal motion is included.

Cell lengths 7.1971, 7.1971, 7.6948 Å; angles 103.41, 103.41, 114.81 degrees
Element x y z (fractional)
Pm (0.1689, 0.7284, 0.7453)
Pm (0.2716, 0.8311, 0.2547)
Pm (0.7284, 0.1689, 0.7453)
Pm (0.8311, 0.2716, 0.2547)
Pr (0.2395, 0.2395, 0.6160)
Pr (0.2686, 0.2686, 0.0999)
Pr (0.7314, 0.7314, 0.9001)
Pr (0.7605, 0.7605, 0.3840)
Pt (0.3753, 0.6247, 0.5000)
Pt (0.6247, 0.3753, 0.5000)

The 10 most intense peaks (5 to 70 degrees two-theta), most intense first:
2theta, intensity
29.47, 100
32.17, 94
34.22, 50
12.75, 43
29.65, 37
39.32, 35
36.75, 34
40.60, 28
15.41, 22
47.38, 21



No. 8
Diffraction record for BaSr2H6Rh. The X-ray powder pattern is computed, not measured: it uses a cell relaxed with GGA-PBE and Cu Kα, 1.54184 Å.
No peak broadening, texture or thermal motion is included.

Cell lengths 5.3154, 5.3154, 7.0824 Å; angles 90.00, 90.00, 120.00 degrees
Element x y z (fractional)
Ba (0.0000, 0.0000, 0.0000)
Sr (0.3333, 0.6667, 0.6533)
Sr (0.6667, 0.3333, 0.3467)
H (0.1517, 0.3034, 0.3570)
H (0.1517, 0.8483, 0.3570)
H (0.3034, 0.1517, 0.6430)
H (0.6966, 0.8483, 0.3570)
H (0.8483, 0.1517, 0.6430)
H (0.8483, 0.6966, 0.6430)
Rh (0.0000, 0.0000, 0.5000)

The 10 most intense peaks (5 to 70 degrees two-theta), most intense first:
2theta, intensity
31.88, 100
33.72, 79
23.04, 51
19.28, 45
47.09, 34
59.17, 33
55.61, 22
42.53, 15
60.32, 15
66.64, 13